Entry 1:
Diffraction record for Tm3AlPd12. The X-ray powder pattern is theoretical, not measured: it uses a crystal structure in Alexandria, relaxed with GGA-PBE and a wavelength of 1.5418 Å.
Lines closer than 0.1° are merged.

Most intense lines, 5° ≤ 2θ ≤ 70°, low angle first:
- 5.52 deg, 16.003 Å, intensity 4
- 22.52 deg, 3.949 Å, intensity 2
- 35.41 deg, 2.535 Å, intensity 4
- 38.51 deg, 2.338 Å, intensity 100
- 39.41 deg, 2.286 Å, intensity 2
- 44.47 deg, 2.037 Å, intensity 34
- 45.34 deg, 2.000 Å, intensity 14
- 60.91 deg, 1.521 Å, intensity 2
- 64.71 deg, 1.441 Å, intensity 11
- 65.38 deg, 1.427 Å, intensity 19

Cell and atoms:
abc: 4.075 4.075 16.003
angles: 90.00 90.00 90.00
Element x y z (fractional)
Tm1 0.000 0.000 0.000
Tm2 0.000 0.000 0.257
Tm3 0.000 0.000 0.743
Al1 0.000 0.000 0.500
Pd1 0.000 0.500 0.129
Pd2 0.000 0.500 0.387
Pd3 0.000 0.500 0.613
Pd4 0.000 0.500 0.871
Pd5 0.500 0.000 0.129
Pd6 0.500 0.000 0.387
Pd7 0.500 0.000 0.613
Pd8 0.500 0.000 0.871
Pd9 0.500 0.500 0.000
Pd10 0.500 0.500 0.258
Pd11 0.500 0.500 0.500
Pd12 0.500 0.500 0.742

***

Entry 2:
Diffraction record for Tm2Al12Pd7. The X-ray powder pattern is theoretical, not measured: it uses a crystal structure in Alexandria, relaxed with GGA-PBE and a wavelength of 1.5418 Å.
Lines closer than 0.1° are merged.

Most intense lines, 5° ≤ 2θ ≤ 70°, low angle first:
- 27.62 deg, 3.230 Å, intensity 41
- 29.87 deg, 2.991 Å, intensity 100
- 31.41 deg, 2.848 Å, intensity 25
- 35.09 deg, 2.558 Å, intensity 99
- 36.42 deg, 2.467 Å, intensity 37
- 42.53 deg, 2.125 Å, intensity 42
- 43.20 deg, 2.094 Å, intensity 39
- 43.90 deg, 2.063 Å, intensity 34
- 48.84 deg, 1.865 Å, intensity 26
- 51.47 deg, 1.775 Å, intensity 27

Cell and atoms:
abc: 9.867 9.867 4.188
angles: 90.00 90.00 120.00
Element x y z (fractional)
Tm1 0.000 0.000 0.000
Tm2 0.333 0.667 0.500
Al1 0.018 0.732 0.500
Al2 0.153 0.387 0.000
Al3 0.234 0.847 0.000
Al4 0.268 0.285 0.500
Al5 0.371 0.172 0.000
Al6 0.539 0.129 0.500
Al7 0.590 0.461 0.500
Al8 0.613 0.766 0.000
Al9 0.715 0.982 0.500
Al10 0.801 0.629 0.000
Al11 0.828 0.199 0.000
Al12 0.871 0.410 0.500
Pd1 0.023 0.558 0.000
Pd2 0.239 0.008 0.500
Pd3 0.442 0.465 0.000
Pd4 0.535 0.977 0.000
Pd5 0.667 0.333 0.000
Pd6 0.769 0.761 0.500
Pd7 0.992 0.231 0.500

***

Entry 3:
Diffraction record for AlV2Pd5. The X-ray powder pattern is theoretical, not measured: it uses a crystal structure in Alexandria, relaxed with GGA-PBE and a wavelength of 1.5418 Å.
Lines closer than 0.1° are merged.

Most intense lines, 5° ≤ 2θ ≤ 70°, low angle first:
- 28.62 deg, 3.119 Å, intensity 15
- 37.19 deg, 2.418 Å, intensity 14
- 39.84 deg, 2.263 Å, intensity 74
- 40.08 deg, 2.250 Å, intensity 100
- 40.74 deg, 2.215 Å, intensity 38
- 41.57 deg, 2.172 Å, intensity 20
- 44.57 deg, 2.033 Å, intensity 41
- 47.40 deg, 1.918 Å, intensity 40
- 67.10 deg, 1.395 Å, intensity 28
- 69.60 deg, 1.351 Å, intensity 15

Cell and atoms:
abc: 5.447 10.803 4.066
angles: 90.00 90.00 90.00
Element x y z (fractional)
Al1 0.000 0.000 0.000
Al2 0.500 0.500 0.000
V1 0.190 0.358 0.500
V2 0.310 0.858 0.500
V3 0.690 0.142 0.500
V4 0.810 0.642 0.500
Pd1 0.000 0.500 0.000
Pd2 0.056 0.757 0.000
Pd3 0.193 0.105 0.500
Pd4 0.307 0.605 0.500
Pd5 0.444 0.257 0.000
Pd6 0.500 0.000 0.000
Pd7 0.556 0.743 0.000
Pd8 0.693 0.395 0.500
Pd9 0.807 0.895 0.500
Pd10 0.944 0.243 0.000

***

Entry 4:
Diffraction record for Al2Pd2W. The X-ray powder pattern is theoretical, not measured: it uses a crystal structure in Alexandria, relaxed with GGA-PBE and a wavelength of 1.5418 Å.
Lines closer than 0.1° are merged.

Most intense lines, 5° ≤ 2θ ≤ 70°, low angle first:
- 17.09 deg, 5.188 Å, intensity 26
- 27.18 deg, 3.281 Å, intensity 37
- 34.58 deg, 2.594 Å, intensity 27
- 36.65 deg, 2.452 Å, intensity 58
- 38.81 deg, 2.320 Å, intensity 100
- 40.70 deg, 2.217 Å, intensity 46
- 42.60 deg, 2.122 Å, intensity 60
- 56.05 deg, 1.641 Å, intensity 23
- 60.45 deg, 1.531 Å, intensity 23
- 63.32 deg, 1.469 Å, intensity 25

Cell and atoms:
abc: 7.337 7.337 2.782
angles: 90.00 90.00 90.00
Element x y z (fractional)
Al1 0.146 0.354 0.000
Al2 0.354 0.854 0.000
Al3 0.646 0.146 0.000
Al4 0.854 0.646 0.000
Pd1 0.153 0.653 0.500
Pd2 0.347 0.153 0.500
Pd3 0.653 0.847 0.500
Pd4 0.847 0.347 0.500
W1 0.000 0.000 0.000
W2 0.500 0.500 0.000